1.
Diffraction record for FePb2Cl3O5. The XRD peak list is simulated, not measured: it uses DFT lattice parameters and positions (PBE+U) and Cu Kα.
Kinematic intensities with the Lorentz-polarization factor, no thermal factor.

Peak list (8 most intense, 10° ≤ 2θ ≤ 90°, by angle)
hkl	2θ/deg	Rel. int.
0 0 2	15.5	23
0 1 1	16.8	100
2 1 0	30.0	30
2 1 -2	31.9	16
2 1 1	32.1	20
0 1 4	34.8	18
2 2 -1	40.1	16
2 2 0	40.1	15

abc: 6.970 5.942 11.582
angles: 90.00 99.07 90.00
Space group P2_1 (No. 4)
Symmetry-distinct sites (fractional):
Fe (0.000, 0.000, 0.000) (multiplicity 2)
Pb (0.201, 0.248, 0.798) (multiplicity 2)
Pb (0.305, 0.749, 0.203) (multiplicity 2)
Cl (0.133, 0.204, 0.585) (multiplicity 2)
Cl (0.348, 0.706, 0.415) (multiplicity 2)
Cl (0.446, 0.591, 0.794) (multiplicity 2)
O (0.043, 0.510, 0.165) (multiplicity 2)
O (0.044, 0.984, 0.169) (multiplicity 2)
O (0.181, 0.252, 0.999) (multiplicity 2)
O (0.181, 0.752, 0.001) (multiplicity 2)
O (0.461, 0.066, 0.847) (multiplicity 2)

=====

2.
Diffraction record for Fe3Pb4ClO8. The XRD peak list is simulated, not measured: it uses DFT lattice parameters and positions (PBE+U) and Cu Kα.
Kinematic intensities with the Lorentz-polarization factor, no thermal factor.

Peak list (8 most intense, 10° ≤ 2θ ≤ 90°, by angle)
hkl	2θ/deg	Rel. int.
1 0 0	22.4	39
0 0 4	22.8	17
1 1 0	31.9	49
1 0 4	32.1	100
1 1 4	39.5	29
2 0 0	45.7	26
2 1 4	57.0	40
1 1 8	57.5	19

abc: 3.971 3.971 15.627
angles: 90.00 90.00 90.00
Space group P4/mmm (No. 123)
Symmetry-distinct sites (fractional):
Fe (0.000, 0.000, 0.000) (multiplicity 1)
Fe (0.000, 0.000, 0.256) (multiplicity 2)
Pb (0.500, 0.500, 0.115) (multiplicity 2)
Pb (0.500, 0.500, 0.379) (multiplicity 2)
Cl (0.000, 0.000, 0.500) (multiplicity 1)
O (0.000, 0.000, 0.134) (multiplicity 2)
O (0.000, 0.500, 0.000) (multiplicity 2)
O (0.000, 0.500, 0.289) (multiplicity 4)

=====

3.
Diffraction record for FeSbCl8O8. The XRD peak list is simulated, not measured: it uses DFT lattice parameters and positions (PBE+U) and Cu Kα.
Kinematic intensities with the Lorentz-polarization factor, no thermal factor.

Peak list (8 most intense, 10° ≤ 2θ ≤ 90°, by angle)
hkl	2θ/deg	Rel. int.
0 0 1	11.4	33
1 1 0	14.0	96
1 0 1	15.1	100
2 0 0	19.9	42
2 2 0	28.3	34
2 2 1	30.6	20
1 0 3	36.1	29
3 2 2	43.4	17

abc: 8.923 8.923 7.780
angles: 90.00 90.00 90.00
Space group P4/mmm (No. 123)
Symmetry-distinct sites (fractional):
Fe (0.000, 0.000, 0.000) (multiplicity 1)
Sb (0.500, 0.500, 0.500) (multiplicity 1)
Cl (0.000, 0.000, 0.289) (multiplicity 2)
Cl (0.309, 0.309, 0.500) (multiplicity 4)
Cl (0.500, 0.500, 0.194) (multiplicity 2)
O (0.000, 0.202, 0.000) (multiplicity 4)
O (0.000, 0.500, 0.422) (multiplicity 4)